[1]
For TiTeO3F2, a PBE-relaxed structure gives the simulated X-ray powder pattern in this record (Cu Kα (λ = 1.5418 Å)).
Peak positions follow from Bragg's law for the DFT cell and can differ from measured ones.

Top 10 peaks for 10 to 90 degrees two-theta, in order of rising 2θ:
Position (°2θ)  intensity  h k l
14.4  27  1 0 -2
21.1  94  0 0 4
26.9  53  2 0 -2
27.3  100  1 2 -1
34.5  19  2 0 2
34.7  35  1 2 -5
36.5  20  2 2 -3
43.0  21  0 0 8
47.7  24  3 2 -3
51.7  23  1 2 -9

Structural model:
```
data_TiTeO3F2
_space_group_name_H-M_alt 'P 1 21/c 1'
_space_group_IT_number 14
_cell_length_a 6.628
_cell_length_b 7.523
_cell_length_c 18.074
_cell_angle_alpha 90.00
_cell_angle_beta 111.52
_cell_angle_gamma 90.00
loop_
_space_group_symop_operation_xyz
'x,y,z'
'-x,-y,-z'
'-x,y+1/2,-z+1/2'
'x,-y+1/2,z+1/2'
loop_
_atom_site_label
_atom_site_type_symbol
_atom_site_fract_x
_atom_site_fract_y
_atom_site_fract_z
_atom_site_occupancy
Ti1 Ti 0.112 0.126 0.369 1
Ti2 Ti 0.117 0.598 0.369 1
Te1 Te 0.362 0.140 0.636 1
Te2 Te 0.410 0.640 0.636 1
O1 O 0.048 0.137 0.865 1
O2 O 0.166 0.172 0.132 1
O3 O 0.177 0.552 0.139 1
O4 O 0.400 0.553 0.361 1
O5 O 0.403 0.171 0.368 1
O6 O 0.474 0.648 0.750 1
F1 F 0.006 0.115 0.250 1
F2 F 0.187 0.637 0.865 1
F3 F 0.212 0.109 0.479 1
F4 F 0.248 0.612 0.479 1
```

[2]
For HgBr, a PBE-relaxed structure gives the simulated X-ray powder pattern in this record (Cu Kα (λ = 1.5418 Å)).
Peak positions follow from Bragg's law for the DFT cell and can differ from measured ones.

Top 10 peaks for 10 to 90 degrees two-theta, in order of rising 2θ:
Position (°2θ)  intensity  h k l
19.5  48  1 0 1
25.4  100  1 1 0
31.6  23  0 0 4
36.2  40  2 0 0
40.9  46  1 1 4
43.9  22  1 0 5
48.8  28  2 0 4
58.2  19  2 1 5
58.9  20  3 1 0
68.3  20  3 1 4

Structural model:
```
data_HgBr
_space_group_name_H-M_alt 'I 4/m m m'
_space_group_IT_number 139
_space_group_name_Hall '-I 4 2'
_cell_length_a 4.961
_cell_length_b 4.961
_cell_length_c 11.337
_cell_angle_alpha 90.00
_cell_angle_beta 90.00
_cell_angle_gamma 90.00
loop_
_atom_site_label
_atom_site_type_symbol
_atom_site_fract_x
_atom_site_fract_y
_atom_site_fract_z
_atom_site_occupancy
Hg1 Hg 0.000 0.000 0.116 1
Br1 Br 0.000 0.000 0.343 1
```

[3]
For CsMg6Cr, a PBE-relaxed structure gives the simulated X-ray powder pattern in this record (Cu Kα (λ = 1.5418 Å)).
Peak positions follow from Bragg's law for the DFT cell and can differ from measured ones.

Top 10 peaks for 10 to 90 degrees two-theta, in order of rising 2θ:
Position (°2θ)  intensity  h k l
15.0  53  0 0 2
16.5  31  1 0 0
22.4  58  1 0 2
30.3  34  0 2 2
33.4  36  2 0 0
34.6  50  1 0 4
34.7  100  1 2 2
45.8  21  2 2 2
53.6  25  0 2 6
60.6  19  3 2 2

Structural model:
```
data_CsMg6Cr
_space_group_name_H-M_alt 'A m m 2'
_space_group_IT_number 38
_cell_length_a 5.362
_cell_length_b 6.791
_cell_length_c 11.865
_cell_angle_alpha 90.00
_cell_angle_beta 90.00
_cell_angle_gamma 90.00
loop_
_space_group_symop_operation_xyz
'x,y,z'
'-x,-y,z'
'-x,y,z'
'x,-y,z'
'x,y+1/2,z+1/2'
'-x,-y+1/2,z+1/2'
'-x,y+1/2,z+1/2'
'x,-y+1/2,z+1/2'
loop_
_atom_site_label
_atom_site_type_symbol
_atom_site_fract_x
_atom_site_fract_y
_atom_site_fract_z
_atom_site_occupancy
Cs1 Cs 0.000 0.000 0.000 1
Mg1 Mg 0.000 0.247 0.252 1
Mg2 Mg 0.500 0.000 0.183 1
Mg3 Mg 0.500 0.000 0.663 1
Mg4 Mg 0.500 0.222 0.413 1
Cr1 Cr 0.000 0.000 0.499 1
```

[4]
For MgCu2AgSe2O10, a PBE-relaxed structure gives the simulated X-ray powder pattern in this record (Cu Kα (λ = 1.5418 Å)).
Peak positions follow from Bragg's law for the DFT cell and can differ from measured ones.

Top 10 peaks for 10 to 90 degrees two-theta, in order of rising 2θ:
Position (°2θ)  intensity  h k l
17.5  42  1 1 0
21.8  64  2 0 0
25.2  100  1 1 1
30.5  75  0 2 1
30.9  32  3 1 -1
31.0  59  3 1 -2
31.2  26  2 0 1
31.5  56  2 0 -3
47.8  26  4 2 -1
64.6  32  6 2 -4

Structural model:
```
data_MgCu2AgSe2O10
_space_group_name_H-M_alt 'C 1 m 1'
_space_group_IT_number 8
_cell_length_a 9.981
_cell_length_b 6.457
_cell_length_c 8.516
_cell_angle_alpha 90.00
_cell_angle_beta 125.25
_cell_angle_gamma 90.00
loop_
_space_group_symop_operation_xyz
'x,y,z'
'x,-y,z'
'x+1/2,y+1/2,z'
'x+1/2,-y+1/2,z'
loop_
_atom_site_label
_atom_site_type_symbol
_atom_site_fract_x
_atom_site_fract_y
_atom_site_fract_z
_atom_site_occupancy
Mg1 Mg 0.000 0.000 0.000 1
Cu1 Cu 0.348 0.249 0.171 1
Ag1 Ag 0.046 0.500 0.614 1
Se1 Se 0.312 0.500 0.479 1
Se2 Se 0.384 0.000 0.850 1
O1 O 0.074 0.500 0.900 1
O2 O 0.114 0.500 0.399 1
O3 O 0.235 0.000 0.622 1
O4 O 0.236 0.000 0.115 1
O5 O 0.351 0.280 0.399 1
O6 O 0.378 0.219 0.962 1
O7 O 0.436 0.500 0.718 1
O8 O 0.447 0.500 0.198 1
```

[5]
For Cu3RuN, a PBE-relaxed structure gives the simulated X-ray powder pattern in this record (Cu Kα (λ = 1.5418 Å)).
Peak positions follow from Bragg's law for the DFT cell and can differ from measured ones.

Top 10 peaks for 10 to 90 degrees two-theta, in order of rising 2θ:
Position (°2θ)  intensity  h k l
23.0  1  1 0 0
32.7  7  1 1 0
40.4  100  1 1 1
46.9  56  2 0 0
52.9  1  2 1 0
58.4  2  2 1 1
68.6  33  2 2 0
78.1  1  3 1 0
82.7  34  3 1 1
87.2  11  2 2 2

Structural model:
```
data_Cu3RuN
_space_group_name_H-M_alt 'P m -3 m'
_space_group_IT_number 221
_space_group_name_Hall '-P 4 2 3'
_cell_length_a 3.871
_cell_length_b 3.871
_cell_length_c 3.871
_cell_angle_alpha 90.00
_cell_angle_beta 90.00
_cell_angle_gamma 90.00
loop_
_atom_site_label
_atom_site_type_symbol
_atom_site_fract_x
_atom_site_fract_y
_atom_site_fract_z
_atom_site_occupancy
Cu1 Cu 0.000 0.000 0.500 1
Ru1 Ru 0.500 0.500 0.500 1
N1 N 0.000 0.000 0.000 1
```

[6]
For TiAu2, a PBE-relaxed structure gives the simulated X-ray powder pattern in this record (Cu Kα (λ = 1.5418 Å)).
Peak positions follow from Bragg's law for the DFT cell and can differ from measured ones.

Top 10 peaks for 10 to 90 degrees two-theta, in order of rising 2θ:
Position (°2θ)  intensity  h k l
20.6  13  0 0 2
27.7  34  1 0 1
36.7  67  1 1 0
40.8  100  1 0 3
42.4  9  1 1 2
52.8  24  2 0 0
68.8  43  2 1 3
76.9  16  1 1 6
88.4  12  2 0 6
89.4  11  3 1 0

Structural model:
```
data_TiAu2
_space_group_name_H-M_alt 'I 4/m m m'
_space_group_IT_number 139
_space_group_name_Hall '-I 4 2'
_cell_length_a 3.467
_cell_length_b 3.467
_cell_length_c 8.621
_cell_angle_alpha 90.00
_cell_angle_beta 90.00
_cell_angle_gamma 90.00
loop_
_atom_site_label
_atom_site_type_symbol
_atom_site_fract_x
_atom_site_fract_y
_atom_site_fract_z
_atom_site_occupancy
Ti1 Ti 0.000 0.000 0.000 1
Au1 Au 0.000 0.000 0.336 1
```

[7]
For CeCO3F, a PBE-relaxed structure gives the simulated X-ray powder pattern in this record (Cu Kα (λ = 1.5418 Å)).
Peak positions follow from Bragg's law for the DFT cell and can differ from measured ones.

Top 10 peaks for 10 to 90 degrees two-theta, in order of rising 2θ:
Position (°2θ)  intensity  h k l
18.0  53  0 0 2
24.9  70  1 1 0
30.9  100  1 1 2
43.8  38  3 0 0
44.6  49  1 1 4
47.7  36  3 0 2
54.5  22  2 2 2
58.2  17  3 0 4
62.1  13  1 1 6
72.4  20  4 1 2

Structural model:
```
data_CeCO3F
_space_group_name_H-M_alt 'P -6 2 c'
_space_group_IT_number 190
_space_group_name_Hall 'P -6c -2c'
_cell_length_a 7.1611
_cell_length_b 7.1611
_cell_length_c 9.8613
_cell_angle_alpha 90.00
_cell_angle_beta 90.00
_cell_angle_gamma 120.00
loop_
_atom_site_label
_atom_site_type_symbol
_atom_site_fract_x
_atom_site_fract_y
_atom_site_fract_z
_atom_site_occupancy
Ce1 Ce 0.0000 0.3404 0.0000 1
C1 C 0.0332 0.7084 0.2500 1
O1 O 0.0549 0.6728 0.6355 1
O2 O 0.1085 0.3198 0.2500 1
F1 F 0.0000 0.0000 0.0000 1
F2 F 0.3333 0.6667 0.0491 1
```

[8]
For Cs2YTlF6, a PBE-relaxed structure gives the simulated X-ray powder pattern in this record (Cu Kα (λ = 1.5418 Å)).
Peak positions follow from Bragg's law for the DFT cell and can differ from measured ones.

Top 10 peaks for 10 to 90 degrees two-theta, in order of rising 2θ:
Position (°2θ)  intensity  h k l
25.7  100  2 2 0
30.2  6  3 1 1
36.6  32  4 0 0
45.2  42  4 2 2
52.7  21  4 4 0
59.6  21  6 2 0
65.9  7  4 4 4
72.0  23  6 4 2
83.6  11  6 6 0
89.2  9  8 4 0

Structural model:
```
data_Cs2YTlF6
_space_group_name_H-M_alt 'F m -3 m'
_space_group_IT_number 225
_space_group_name_Hall '-F 4 2 3'
_cell_length_a 9.818
_cell_length_b 9.818
_cell_length_c 9.818
_cell_angle_alpha 90.00
_cell_angle_beta 90.00
_cell_angle_gamma 90.00
loop_
_atom_site_label
_atom_site_type_symbol
_atom_site_fract_x
_atom_site_fract_y
_atom_site_fract_z
_atom_site_occupancy
Cs1 Cs 0.250 0.250 0.250 1
Y1 Y 0.000 0.000 0.000 1
Tl1 Tl 0.000 0.000 0.500 1
F1 F 0.000 0.000 0.223 1
```

[9]
For NaLi2IrF6, a PBE-relaxed structure gives the simulated X-ray powder pattern in this record (Cu Kα (λ = 1.5418 Å)).
Peak positions follow from Bragg's law for the DFT cell and can differ from measured ones.

Top 10 peaks for 10 to 90 degrees two-theta, in order of rising 2θ:
Position (°2θ)  intensity  h k l
18.4  89  1 1 1
21.3  100  2 0 0
30.3  47  2 2 0
35.7  48  3 1 1
43.4  29  4 0 0
47.5  20  3 3 1
48.8  42  4 2 0
53.9  20  4 2 2
57.4  18  5 1 1
67.4  19  6 0 0

Structural model:
```
data_NaLi2IrF6
_space_group_name_H-M_alt 'F m -3 m'
_space_group_IT_number 225
_space_group_name_Hall '-F 4 2 3'
_cell_length_a 8.339
_cell_length_b 8.339
_cell_length_c 8.339
_cell_angle_alpha 90.00
_cell_angle_beta 90.00
_cell_angle_gamma 90.00
loop_
_atom_site_label
_atom_site_type_symbol
_atom_site_fract_x
_atom_site_fract_y
_atom_site_fract_z
_atom_site_occupancy
Na1 Na 0.000 0.000 0.000 1
Li1 Li 0.250 0.250 0.250 1
Ir1 Ir 0.000 0.000 0.500 1
F1 F 0.000 0.000 0.258 1
```

[10]
For CsPbBr3, a PBE-relaxed structure gives the simulated X-ray powder pattern in this record (Cu Kα (λ = 1.5418 Å)).
Peak positions follow from Bragg's law for the DFT cell and can differ from measured ones.

Top 10 peaks for 10 to 90 degrees two-theta, in order of rising 2θ:
Position (°2θ)  intensity  h k l
14.8  37  0 0 2
21.0  92  2 0 0
25.8  16  2 0 2
29.9  100  0 0 4
33.5  22  3 1 0
36.8  52  3 1 2
42.8  71  2 2 4
53.1  24  4 0 4
57.7  22  4 2 4
70.5  17  4 4 4

Structural model:
```
data_CsPbBr3
_space_group_name_H-M_alt 'I 4/m c m'
_space_group_IT_number 140
_space_group_name_Hall '-I 4 2c'
_cell_length_a 8.447
_cell_length_b 8.447
_cell_length_c 11.981
_cell_angle_alpha 90.00
_cell_angle_beta 90.00
_cell_angle_gamma 90.00
loop_
_atom_site_label
_atom_site_type_symbol
_atom_site_fract_x
_atom_site_fract_y
_atom_site_fract_z
_atom_site_occupancy
Cs1 Cs 0.000 0.500 0.250 1
Pb1 Pb 0.000 0.000 0.000 1
Br1 Br 0.000 0.000 0.250 1
Br2 Br 0.219 0.281 0.000 1
```